Calculated PXRD pattern
Compound: HoTiFe10
Radiation: a wavelength of 1.5418 Å
Structure: DFT lattice parameters and positions (PBE)
Peak positions follow from Bragg's law for the DFT cell and can differ from measured ones.

Crystal structure
Cell lengths 3.9794, 4.8315, 8.3553 Å; angles 90.00, 90.00, 90.00 degrees
Space group Pmmm (No. 47)
Inequivalent atoms, fractional coordinates:
1 Ho 0.0000 0.0000 0.0000
2 Ti 0.0000 0.5000 0.5000
3 Fe 0.0000 0.0000 0.3431
4 Fe 0.0000 0.5000 0.1801
5 Fe 0.5000 0.0000 0.5000
6 Fe 0.5000 0.2520 0.2570
7 Fe 0.5000 0.5000 0.0000

Top 12 peaks for 5 to 70 degrees two-theta, in order of rising 2θ:
2θ 10.6, I 11.9, (0 0 1); 2θ 28.2, I 7.7, (0 1 2); 2θ 31.0, I 37.4, (1 1 1); 2θ 36.3, I 7.4, (1 1 2); 2θ 37.2, I 27.0, (0 2 0); 2θ 43.3, I 33.1, (0 0 4); 2θ 43.9, I 100.0, (1 2 0); 2θ 45.6, I 30.1, (2 0 0); 2θ 49.2, I 14.1, (1 2 2); 2θ 60.3, I 12.6, (2 2 0); 2θ 63.3, I 9.6, (1 2 4); 2θ 64.7, I 18.8, (2 0 4)